The following is a calculated XRD peak list of RbTe. It was derived from a crystal structure in the Materials Project, relaxed with PBE, using copper Kα.
No peak broadening, texture or thermal motion is included.

Most intense lines, 2θ from 10° to 80°, sorted by position:
d = 4.316 Å, rel. 6, hkl 1 1 1
d = 3.738 Å, rel. 100, hkl 2 0 0
d = 2.643 Å, rel. 80, hkl 2 2 0
d = 2.254 Å, rel. 3, hkl 3 1 1
d = 2.158 Å, rel. 29, hkl 2 2 2
d = 1.869 Å, rel. 14, hkl 4 0 0
d = 1.715 Å, rel. 1, hkl 3 3 1
d = 1.672 Å, rel. 39, hkl 4 2 0
d = 1.526 Å, rel. 29, hkl 4 2 2
d = 1.439 Å, rel. 1, hkl 5 1 1
d = 1.322 Å, rel. 9, hkl 4 4 0
d = 1.246 Å, rel. 18, hkl 6 0 0

Cell and atoms:
```
data_RbTe
_chemical_formula_sum 'Rb4 Te4'
_symmetry_space_group_name_H-M 'F m -3 m'
_symmetry_Int_Tables_number 225
_symmetry_space_group_name_Hall '-F 4 2 3'
_cell_length_a 7.476
_cell_length_b 7.476
_cell_length_c 7.476
_cell_angle_alpha 90.00
_cell_angle_beta 90.00
_cell_angle_gamma 90.00
loop_
_atom_site_label
_atom_site_fract_x
_atom_site_fract_y
_atom_site_fract_z
Rb1 0.000 0.000 0.000
Te1 0.000 0.000 0.500
```